Diffraction record for Li5MnO4. The X-ray powder pattern is computed, not measured: it uses a structure optimized by DFT (PBE+U) and Cu Kα (weighted mean of Kα1 and Kα2).

Top 10 peaks for 2θ from 10° to 80°, by angle:
2θ/deg  d_spacing  I/Imax
18.45  4.808  28
23.49  3.787  100
26.93  3.310  21
33.30  2.690  30
35.48  2.530  13
36.58  2.457  14
43.93  2.061  10
45.56  1.991  24
55.16  1.665  11
55.52  1.655  15

Crystal structure
```
Li5MnO4
1.0
4.6172 0.0000 0.0000
0.0000 4.5647 4.8078
0.0000 -4.5647 4.8078
Li Mn O
10 2 8
Cartesian
0.0000 0.0000 0.0000
0.1308 1.9078 7.3755
0.3359 2.0247 4.9824
1.9727 -2.5401 4.9824
2.1778 1.9078 2.5678
2.3086 0.0000 4.8078
2.4394 -1.9078 2.5678
2.6445 2.5401 4.9824
4.2813 -2.0247 4.9824
4.4864 -1.9078 7.3755
0.0000 0.0000 2.6343
2.3086 0.0000 7.4420
0.6595 1.2976 1.3900
0.9872 -1.2311 3.7655
1.3214 3.3337 3.7655
1.6491 1.2976 6.1978
2.9681 -1.2976 6.1978
3.2958 -3.3337 3.7655
3.6301 1.2311 3.7655
3.9577 -1.2976 1.3900
```